No. 1
Starting from a structure optimized by DFT (PBE), the PXRD pattern of KRb2RhF8 was computed for Cu Kα (λ = 1.5418 Å).

Principal peaks in the range 2θ = 15–90°, low angle first:
- 2θ 15.5, d 5.716, intensity 94, hkl 0 0 2
- 2θ 16.4, d 5.389, intensity 175, hkl 1 0 1
- 2θ 25.8, d 3.447, intensity 1000, hkl 1 1 2
- 2θ 29.2, d 3.055, intensity 132, hkl 2 0 0
- 2θ 41.8, d 2.160, intensity 208, hkl 2 2 0
- 2θ 43.4, d 2.087, intensity 394, hkl 2 0 4
- 2θ 49.8, d 1.830, intensity 281, hkl 3 1 2
- 2θ 52.5, d 1.743, intensity 119, hkl 1 1 6
- 2θ 69.3, d 1.357, intensity 134, hkl 3 1 6
- 2θ 77.4, d 1.233, intensity 86, hkl 4 2 4

Crystal structure
Unit cell a=6.1103 b=6.1103 c=11.4320 alpha=90.00 beta=90.00 gamma=90.00
Space group I-4m2 (No. 119)
One atom of each set of equivalent atoms:
K  0.0000  0.0000  0.0000 [2 per cell]
Rb  0.0000  0.0000  0.5000 [2 per cell]
Rb  0.0000  0.5000  0.7500 [2 per cell]
Rh  0.0000  0.5000  0.2500 [2 per cell]
F  0.1919  0.3054  0.1468 [16 per cell]

No. 2
Starting from a structure optimized by DFT (PBE), the PXRD pattern of KRbRhF6 was computed for Cu Kα (λ = 1.5418 Å).

Principal peaks in the range 2θ = 15–90°, low angle first:
- 2θ 17.2, d 5.150, intensity 355, hkl 1 0 0
- 2θ 18.3, d 4.857, intensity 182, hkl 0 0 1
- 2θ 25.2, d 3.533, intensity 1000, hkl 0 1 1
- 2θ 30.1, d 2.973, intensity 532, hkl 1 1 0
- 2θ 39.6, d 2.275, intensity 720, hkl 2 0 1
- 2θ 41.1, d 2.196, intensity 281, hkl 1 0 2
- 2θ 50.5, d 1.807, intensity 258, hkl 1 2 1
- 2θ 51.7, d 1.767, intensity 275, hkl 0 2 2
- 2θ 61.0, d 1.519, intensity 215, hkl 2 1 2
- 2θ 68.5, d 1.370, intensity 197, hkl 0 2 3

Crystal structure
Unit cell a=5.9466 b=5.9466 c=4.8568 alpha=90.00 beta=90.00 gamma=120.00
Space group P3m1 (No. 156)
One atom of each set of equivalent atoms:
K  0.0000  0.0000  0.0000 [1 per cell]
Rb  0.6667  0.3333  0.5712 [1 per cell]
Rh  0.3333  0.6667  0.2786 [1 per cell]
F  0.0179  0.5089  0.0551 [3 per cell]
F  0.1743  0.3487  0.4996 [3 per cell]

No. 3
Starting from a structure optimized by DFT (PBE), the PXRD pattern of KRb2Sn2F7 was computed for Cu Kα (λ = 1.5418 Å).

Principal peaks in the range 2θ = 15–90°, low angle first:
- 2θ 15.7, d 5.649, intensity 500, hkl 0 0 2
- 2θ 19.0, d 4.664, intensity 395, hkl 1 1 -1
- 2θ 25.2, d 3.539, intensity 850, hkl 0 2 0
- 2θ 26.0, d 3.426, intensity 1000, hkl 1 1 2
- 2θ 26.9, d 3.315, intensity 605, hkl 2 0 -1
- 2θ 28.0, d 3.192, intensity 895, hkl 1 1 -3
- 2θ 37.2, d 2.419, intensity 903, hkl 2 2 -1
- 2θ 39.2, d 2.296, intensity 329, hkl 1 1 4
- 2θ 46.1, d 1.969, intensity 259, hkl 1 3 -3
- 2θ 49.3, d 1.847, intensity 305, hkl 3 1 -4

Crystal structure
Unit cell a=6.6620 b=7.0779 c=11.5151 alpha=90.00 beta=101.15 gamma=90.00
Space group C2/m (No. 12)
One atom of each set of equivalent atoms:
K  0.0000  0.0000  0.0000 [2 per cell]
Rb  0.1536  0.0000  0.3621 [4 per cell]
Sn  0.0857  0.5000  0.2024 [4 per cell]
F  0.0000  0.5000  0.0000 [2 per cell]
F  0.1880  0.1992  0.8250 [8 per cell]
F  0.2423  0.0000  0.6012 [4 per cell]